Structure and calculated powder diffraction line list of Li3Ni4O8 (a structure optimized by DFT (PBE+U); Cu Kα (weighted mean of Kα1 and Kα2)).

Principal peaks in the range 2θ = 10–90°, low angle first:
- 18.56°, I = 100
- 35.93°, I = 14
- 36.92°, I = 25
- 38.37°, I = 9
- 43.38°, I = 21
- 44.69°, I = 39
- 48.38°, I = 12
- 58.78°, I = 10
- 63.84°, I = 11
- 64.24°, I = 16

Cell and atoms:
```
Li3Ni4O8
1.0
5.061 -2.837 0.000
5.061 2.837 0.000
-1.777 0.000 4.780
Li Ni O
3 4 8
Cartesian
0.000 0.000 0.000 Li
2.527 1.410 0.020 Li
5.819 1.410 4.760 Li
1.646 -0.001 2.426 Ni
4.173 1.403 2.390 Ni
6.699 -0.001 2.353 Ni
4.173 -1.416 2.390 Ni
2.318 1.466 3.445 O
0.016 -0.085 3.429 O
3.213 0.068 1.413 O
6.027 1.466 1.335 O
2.366 -1.475 3.423 O
5.132 0.068 3.367 O
8.330 -0.085 1.350 O
5.979 -1.475 1.357 O
```

---

Structure and calculated powder diffraction line list of Li10Ni4O9 (a structure optimized by DFT (PBE+U); Cu Kα (weighted mean of Kα1 and Kα2)).

Principal peaks in the range 2θ = 10–90°, low angle first:
- 12.76°, I = 81
- 26.32°, I = 100
- 33.42°, I = 27
- 34.68°, I = 74
- 41.56°, I = 45
- 55.89°, I = 41
- 56.25°, I = 24
- 63.13°, I = 14
- 67.16°, I = 19
- 72.31°, I = 14

Cell and atoms:
```
Li10Ni4O9
1.0
9.813 0.000 0.000
0.000 9.813 0.000
0.000 0.000 4.681
Li Ni O
20 8 18
Cartesian
0.616 1.038 0.206 Li
0.616 3.868 0.206 Li
1.038 0.616 2.547 Li
1.038 4.291 2.547 Li
2.453 2.453 0.443 Li
2.453 2.453 2.783 Li
3.868 0.616 2.547 Li
3.868 4.291 2.547 Li
4.291 1.038 0.206 Li
4.291 3.868 0.206 Li
5.522 5.945 4.474 Li
5.522 8.775 4.474 Li
5.945 5.522 2.134 Li
5.945 9.197 2.134 Li
7.360 7.360 1.897 Li
7.360 7.360 4.238 Li
8.775 5.522 2.134 Li
8.775 9.197 2.134 Li
9.197 5.945 4.474 Li
9.197 8.775 4.474 Li
0.874 7.360 2.229 Ni
2.453 5.780 0.112 Ni
2.453 8.939 0.112 Ni
4.033 7.360 2.229 Ni
5.780 2.453 2.452 Ni
7.360 0.874 4.569 Ni
7.360 4.033 4.569 Ni
8.939 2.453 2.452 Ni
0.748 5.655 1.170 O
0.748 9.065 1.170 O
0.903 2.453 1.556 O
2.453 0.903 3.896 O
2.453 4.003 3.896 O
2.453 7.360 3.510 O
4.003 2.453 1.556 O
4.158 5.655 1.170 O
4.158 9.065 1.170 O
5.655 0.748 3.510 O
5.655 4.158 3.510 O
5.810 7.360 3.125 O
7.360 2.453 1.170 O
7.360 5.810 0.784 O
7.360 8.910 0.784 O
8.910 7.360 3.125 O
9.065 0.748 3.510 O
9.065 4.158 3.510 O
```

---

Structure and calculated powder diffraction line list of LiNiO2 (a structure optimized by DFT (PBE+U); Cu Kα (weighted mean of Kα1 and Kα2)).

Principal peaks in the range 2θ = 10–90°, low angle first:
- 18.60°, I = 100
- 34.94°, I = 20
- 37.18°, I = 24
- 37.67°, I = 12
- 38.32°, I = 10
- 42.00°, I = 29
- 45.22°, I = 44
- 48.09°, I = 11
- 59.49°, I = 10
- 63.41°, I = 28

Cell and atoms:
```
LiNiO2
1.0
2.588 -1.402 0.000
2.588 1.402 0.000
-1.985 0.000 4.771
Li Ni O
1 1 2
Cartesian
0.000 0.000 0.000 Li
1.596 0.000 2.386 Ni
-0.267 0.000 3.462 O
3.458 0.000 1.309 O
```

---

Structure and calculated powder diffraction line list of Li4Ni5O10 (a structure optimized by DFT (PBE+U); Cu Kα (weighted mean of Kα1 and Kα2)).

Principal peaks in the range 2θ = 10–90°, low angle first:
- 17.69°, I = 100
- 34.94°, I = 10
- 36.06°, I = 6
- 36.46°, I = 5
- 39.81°, I = 15
- 40.19°, I = 16
- 40.67°, I = 23
- 50.40°, I = 11
- 51.33°, I = 10
- 52.95°, I = 7

Cell and atoms:
```
Li4Ni5O10
1.0
4.988 0.000 0.000
-2.472 5.126 0.000
-2.138 -1.528 7.143
Li Ni O
4 5 10
Cartesian
-0.403 2.026 1.130 Li
-1.695 1.887 4.668 Li
2.072 1.710 2.475 Li
0.781 1.572 6.012 Li
-0.995 -1.047 5.009 Ni
1.284 -0.141 0.696 Ni
1.425 -0.764 3.571 Ni
-0.907 3.739 6.447 Ni
1.373 4.645 2.134 Ni
-2.647 3.351 3.443 O
-1.772 -0.424 6.634 O
-2.546 2.713 6.264 O
0.473 0.596 2.231 O
-0.319 3.750 1.922 O
0.697 -0.152 5.220 O
-0.095 3.001 4.912 O
2.924 0.885 0.878 O
2.150 4.021 0.509 O
3.025 0.246 3.700 O
```

---

Structure and calculated powder diffraction line list of Li3Ni4O8 (a structure optimized by DFT (PBE+U); Cu Kα (weighted mean of Kα1 and Kα2)).

Principal peaks in the range 2θ = 10–90°, low angle first:
- 18.47°, I = 100
- 35.92°, I = 14
- 36.90°, I = 25
- 38.43°, I = 9
- 43.48°, I = 21
- 44.52°, I = 39
- 48.39°, I = 8
- 58.44°, I = 10
- 63.79°, I = 11
- 64.17°, I = 11

Cell and atoms:
```
Li3Ni4O8
1.0
5.070 -2.833 0.000
5.070 2.833 0.000
-1.730 0.000 4.805
Li Ni O
3 4 8
Cartesian
0.000 0.000 0.000 Li
2.535 1.417 0.000 Li
2.535 -1.417 0.000 Li
1.672 0.000 2.441 Ni
4.205 1.408 2.402 Ni
4.205 -1.408 2.402 Ni
6.738 0.000 2.364 Ni
2.383 1.468 3.438 O
0.052 0.000 3.466 O
3.227 0.000 1.411 O
6.026 1.468 1.367 O
2.383 -1.468 3.438 O
5.182 0.000 3.394 O
8.357 0.000 1.339 O
6.026 -1.468 1.367 O
```

---

Structure and calculated powder diffraction line list of Li4Ni5O10 (a structure optimized by DFT (PBE+U); Cu Kα (weighted mean of Kα1 and Kα2)).

Principal peaks in the range 2θ = 10–90°, low angle first:
- 18.57°, I = 100
- 35.89°, I = 15
- 36.96°, I = 12
- 37.12°, I = 12
- 43.42°, I = 22
- 44.68°, I = 20
- 44.85°, I = 20
- 48.52°, I = 9
- 64.03°, I = 17
- 64.10°, I = 6

Cell and atoms:
```
Li4Ni5O10
1.0
5.070 0.000 0.000
-1.748 5.553 0.000
-0.755 -1.961 6.071
Li Ni O
4 5 10
Cartesian
0.021 0.701 1.153 Li
0.012 2.203 3.699 Li
2.556 1.389 2.372 Li
2.547 2.891 4.917 Li
-0.849 3.505 1.229 Ni
0.882 -0.641 3.649 Ni
1.661 2.777 0.000 Ni
1.686 4.233 2.422 Ni
3.417 0.087 4.841 Ni
-1.596 3.275 2.950 O
-0.934 1.692 5.520 O
-0.064 -0.807 5.302 O
1.605 -0.432 1.926 O
0.767 2.640 1.814 O
1.801 0.952 4.257 O
0.963 4.024 4.145 O
2.632 4.399 0.769 O
3.502 1.900 0.551 O
4.164 0.317 3.120 O
```

---

Structure and calculated powder diffraction line list of Li5Ni6O12 (a structure optimized by DFT (PBE+U); Cu Kα (weighted mean of Kα1 and Kα2)).

Principal peaks in the range 2θ = 10–90°, low angle first:
- 18.57°, I = 100
- 35.67°, I = 16
- 37.20°, I = 24
- 38.53°, I = 9
- 42.95°, I = 24
- 44.98°, I = 20
- 45.10°, I = 20
- 48.39°, I = 9
- 63.79°, I = 12
- 64.10°, I = 6

Cell and atoms:
```
Li5Ni6O12
1.0
5.817 0.000 0.000
2.654 5.838 0.000
1.476 1.606 6.031
Li Ni O
5 6 12
Cartesian
0.000 0.000 0.000 Li
2.830 3.106 3.919 Li
5.475 5.828 0.001 Li
5.674 3.085 3.947 Li
7.082 4.446 1.965 Li
1.369 1.516 1.959 Ni
4.218 4.571 6.015 Ni
5.561 5.961 3.947 Ni
4.282 1.581 1.976 Ni
7.129 4.577 5.992 Ni
8.490 5.962 3.954 Ni
1.315 1.507 3.852 O
1.400 1.553 0.079 O
2.672 2.863 1.875 O
4.254 4.584 4.149 O
5.574 5.933 5.823 O
5.468 6.098 2.045 O
4.227 1.532 3.850 O
4.345 1.612 0.086 O
5.822 2.826 1.899 O
7.176 4.605 4.025 O
8.435 5.936 5.894 O
8.451 6.064 2.047 O
```

---

Structure and calculated powder diffraction line list of LiNi5O10 (a structure optimized by DFT (PBE+U); Cu Kα (weighted mean of Kα1 and Kα2)).

Principal peaks in the range 2θ = 10–90°, low angle first:
- 18.43°, I = 100
- 37.06°, I = 11
- 37.32°, I = 15
- 37.56°, I = 10
- 44.46°, I = 15
- 44.77°, I = 15
- 45.08°, I = 15
- 48.80°, I = 10
- 58.21°, I = 5
- 64.12°, I = 11

Cell and atoms:
```
LiNi5O10
1.0
4.917 0.000 0.000
-1.646 5.581 0.000
-0.765 -2.033 6.054
Li Ni O
1 5 10
Cartesian
0.000 0.000 0.000 Li
-0.823 2.791 0.000 Ni
-0.802 4.181 2.439 Ni
0.860 0.078 4.820 Ni
1.646 3.469 1.234 Ni
3.309 -0.633 3.615 Ni
-0.844 0.916 4.334 O
-1.653 4.099 4.124 O
-0.079 4.340 0.728 O
0.774 1.925 0.424 O
1.674 0.155 3.130 O
0.833 3.393 2.924 O
1.732 1.623 5.629 O
2.586 -0.792 5.325 O
4.159 -0.551 1.929 O
3.351 2.632 1.720 O
```

---

Structure and calculated powder diffraction line list of LiNiO2 (a structure optimized by DFT (PBE+U); Cu Kα (weighted mean of Kα1 and Kα2)).

Principal peaks in the range 2θ = 10–90°, low angle first:
- 18.48°, I = 100
- 36.24°, I = 43
- 37.88°, I = 16
- 43.90°, I = 74
- 48.01°, I = 15
- 57.90°, I = 14
- 63.55°, I = 20
- 64.10°, I = 20
- 67.35°, I = 15
- 80.95°, I = 9

Cell and atoms:
```
LiNiO2
1.0
1.453 0.839 4.801
-1.453 0.839 4.801
0.000 -1.677 4.801
Li Ni O
1 1 2
Cartesian
0.000 0.000 0.000 Li
0.000 0.000 7.201 Ni
0.000 0.000 3.489 O
0.000 0.000 10.913 O
```

---

Structure and calculated powder diffraction line list of LiNiO2 (a structure optimized by DFT (PBE+U); Cu Kα (weighted mean of Kα1 and Kα2)).

Principal peaks in the range 2θ = 10–90°, low angle first:
- 18.65°, I = 100
- 21.90°, I = 48
- 30.76°, I = 41
- 36.84°, I = 23
- 37.82°, I = 20
- 38.34°, I = 18
- 43.46°, I = 42
- 44.66°, I = 78
- 64.08°, I = 44
- 64.29°, I = 11

Cell and atoms:
```
LiNiO2
1.0
-2.842 4.164 2.898
2.842 -4.164 2.898
2.842 4.164 -2.898
Li Ni O
4 4 8
Cartesian
0.000 0.000 0.000 Li
-1.421 2.082 1.449 Li
0.000 4.164 0.000 Li
1.421 2.082 1.449 Li
1.421 2.082 -1.449 Ni
1.421 -2.082 1.449 Ni
2.842 0.000 0.000 Ni
0.000 0.000 2.898 Ni
2.842 2.082 -0.180 O
2.842 -2.082 2.737 O
1.421 3.989 -1.449 O
1.421 -0.176 1.449 O
-1.421 4.340 1.449 O
1.421 4.340 1.449 O
0.000 6.247 0.161 O
0.000 2.082 3.077 O
```

---

Structure and calculated powder diffraction line list of LiNiO2 (a structure optimized by DFT (PBE+U); Cu Kα (weighted mean of Kα1 and Kα2)).

Principal peaks in the range 2θ = 10–90°, low angle first:
- 12.76°, I = 97
- 31.30°, I = 100
- 33.92°, I = 55
- 40.91°, I = 13
- 50.79°, I = 14
- 55.71°, I = 16
- 57.40°, I = 11
- 62.66°, I = 21
- 65.30°, I = 9
- 80.31°, I = 9

Cell and atoms:
```
LiNiO2
1.0
3.300 0.000 0.000
-1.650 2.858 0.000
0.000 0.000 6.937
Li Ni O
1 1 2
Cartesian
0.000 0.000 0.000 Li
0.000 0.000 3.469 Ni
0.000 0.000 1.775 O
0.000 0.000 5.163 O
```